Structure and computed powder XRD pattern of Sc7C2Cl10 (a crystal structure in the Materials Project, relaxed with PBE; Cu Kα, 1.54184 Å).

Lattice parameters (Å, degrees): 19.077 3.524 12.028 90.00 100.44 90.00
Space group C2/m (No. 12)
Inequivalent atoms, fractional coordinates:
Sc (0.000, 0.000, 0.000) x2
Sc (0.158, 0.500, 0.728) x4
Sc (0.183, 0.000, 0.506) x4
Sc (0.200, 0.500, 0.279) x4
C (0.240, 0.500, 0.624) x4
Cl (0.047, 0.500, 0.880) x4
Cl (0.076, 0.000, 0.626) x4
Cl (0.098, 0.500, 0.385) x4
Cl (0.122, 0.000, 0.134) x4
Cl (0.214, 0.000, 0.869) x4

Principal peaks in the range 10° ≤ 2θ ≤ 90°, sorted by position:
2θ 13.06, I 35.9; 2θ 29.44, I 29.3; 2θ 33.18, I 27.6; 2θ 34.08, I 100.0; 2θ 36.36, I 28.6; 2θ 37.90, I 39.1; 2θ 38.74, I 47.2; 2θ 50.23, I 42.7; 2θ 51.89, I 26.6; 2θ 52.91, I 29.3

Structure and computed powder XRD pattern of Be2BH3O5 (a crystal structure in the Materials Project, relaxed with PBE; Cu Kα, 1.54184 Å).

Lattice parameters (Å, degrees): 7.746 4.428 10.807 90.00 92.03 90.00
Space group Cc (No. 9)
Inequivalent atoms, fractional coordinates:
Be (0.000, 0.000, 0.000) x4
Be (0.340, 0.001, 0.104) x4
B (0.170, 0.500, 0.050) x4
H (0.237, 0.001, 0.289) x4
H (0.436, 0.308, 0.807) x4
H (0.436, 0.309, 0.306) x4
O (0.016, 0.346, 0.549) x4
O (0.169, 0.189, 0.049) x4
O (0.324, 0.346, 0.550) x4
O (0.353, 0.004, 0.254) x4
O (0.492, 0.499, 0.845) x4

Principal peaks in the range 10° ≤ 2θ ≤ 90°, sorted by position:
2θ 16.42, I 100.0; 2θ 27.88, I 42.4; 2θ 28.75, I 65.6; 2θ 33.18, I 66.6; 2θ 40.47, I 13.1; 2θ 41.09, I 18.0; 2θ 41.63, I 35.3; 2θ 44.44, I 11.6; 2θ 47.30, I 14.8; 2θ 73.99, I 13.0

Structure and computed powder XRD pattern of TiSn3 (a crystal structure in the Materials Project, relaxed with PBE; Cu Kα, 1.54184 Å).

Lattice parameters (Å, degrees): 6.2861 6.2861 5.4926 90.00 90.00 120.00
Space group P6_3/mmc (No. 194)
Inequivalent atoms, fractional coordinates:
Ti (0.3333, 0.6667, 0.2500) x2
Sn (0.1709, 0.3417, 0.7500) x6

Principal peaks in the range 10° ≤ 2θ ≤ 90°, sorted by position:
2θ 23.00, I 12.3; 2θ 32.61, I 31.0; 2θ 32.91, I 22.6; 2θ 36.85, I 100.0; 2θ 47.00, I 16.8; 2θ 58.75, I 17.3; 2θ 60.99, I 23.5; 2θ 68.83, I 21.9; 2θ 71.40, I 14.8; 2θ 89.79, I 8.8

Structure and computed powder XRD pattern of Ba2YTaO6 (a crystal structure in the Materials Project, relaxed with PBE; Cu Kα, 1.54184 Å).

Lattice parameters (Å, degrees): 6.025 6.025 8.566 90.00 90.00 90.00
Space group I4/m (No. 87)
Inequivalent atoms, fractional coordinates:
Ba (0.000, 0.500, 0.250) x4
Y (0.000, 0.000, 0.000) x2
Ta (0.000, 0.000, 0.500) x2
O (0.000, 0.000, 0.264) x4
O (0.209, 0.261, 0.500) x8

Principal peaks in the range 10° ≤ 2θ ≤ 90°, sorted by position:
2θ 18.00, I 8.0; 2θ 29.60, I 100.0; 2θ 42.20, I 9.9; 2θ 42.43, I 19.1; 2θ 52.42, I 13.8; 2θ 52.57, I 27.4; 2θ 61.38, I 12.1; 2θ 69.78, I 12.0; 2θ 84.86, I 7.3; 2θ 85.06, I 7.5

Structure and computed powder XRD pattern of CuS (a crystal structure in the Materials Project, relaxed with PBE; Cu Kα, 1.54184 Å).

Lattice parameters (Å, degrees): 4.880 4.880 4.880 90.00 90.00 90.00
Space group Fm-3m (No. 225)
Inequivalent atoms, fractional coordinates:
Cu (0.000, 0.000, 0.000) x4
S (0.000, 0.000, 0.500) x4

Principal peaks in the range 10° ≤ 2θ ≤ 90°, sorted by position:
2θ 31.76, I 24.9; 2θ 36.84, I 100.0; 2θ 53.08, I 64.4; 2θ 63.20, I 10.0; 2θ 66.36, I 20.8; 2θ 78.38, I 9.5; 2θ 87.04, I 3.4; 2θ 89.90, I 27.4

Structure and computed powder XRD pattern of SrCa3Br2N2 (a crystal structure in the Materials Project, relaxed with PBE; Cu Kα, 1.54184 Å).

Lattice parameters (Å, degrees): 6.546 3.778 7.405 90.00 107.15 90.00
Space group Pm (No. 6)
Inequivalent atoms, fractional coordinates:
Sr (0.000, 0.000, 0.000) x1
Ca (0.454, 0.000, 0.365) x1
Ca (0.504, 0.500, 0.021) x1
Ca (0.953, 0.500, 0.364) x1
Br (0.232, 0.000, 0.682) x1
Br (0.718, 0.500, 0.676) x1
N (0.236, 0.500, 0.194) x1
N (0.724, 0.000, 0.192) x1

Principal peaks in the range 10° ≤ 2θ ≤ 90°, sorted by position:
2θ 27.58, I 33.0; 2θ 32.13, I 100.0; 2θ 34.61, I 48.6; 2θ 38.16, I 17.9; 2θ 43.93, I 21.4; 2θ 48.16, I 36.3; 2θ 59.08, I 15.6; 2θ 63.04, I 23.7; 2θ 63.69, I 10.7; 2θ 79.58, I 12.7

Structure and computed powder XRD pattern of RbSn2P3O12 (a crystal structure in the Materials Project, relaxed with PBE; Cu Kα, 1.54184 Å).

Lattice parameters (Å, degrees): 8.4566 8.4566 24.3699 90.00 90.00 120.00
Space group R-3 (No. 148, hexagonal axes)
Inequivalent atoms, fractional coordinates:
Rb (0.0000, 0.0000, 0.0000) x3
Rb (0.0000, 0.0000, 0.5000) x3
Sn (0.0000, 0.0000, 0.1498) x6
Sn (0.0000, 0.0000, 0.3446) x6
P (0.0013, 0.2887, 0.2505) x18
O (0.0254, 0.8242, 0.0957) x18
O (0.0412, 0.2180, 0.1968) x18
O (0.0713, 0.8535, 0.3970) x18
O (0.0882, 0.8576, 0.7037) x18

Principal peaks in the range 10° ≤ 2θ ≤ 90°, sorted by position:
2θ 21.01, I 85.7; 2θ 23.72, I 26.8; 2θ 30.52, I 100.0; 2θ 36.82, I 29.0; 2θ 43.24, I 22.3; 2θ 48.55, I 29.6; 2θ 49.84, I 16.0; 2θ 57.68, I 18.9; 2θ 59.19, I 17.0; 2θ 62.45, I 21.6

Structure and computed powder XRD pattern of BeC2 (a crystal structure in the Materials Project, relaxed with PBE; Cu Kα, 1.54184 Å).

Lattice parameters (Å, degrees): 5.894 5.894 5.894 90.00 90.00 90.00
Space group Pn-3m (No. 224, origin choice 2)
Inequivalent atoms, fractional coordinates:
Be (0.000, 0.000, 0.000) x4
C (0.159, 0.159, 0.159) x8

Principal peaks in the range 10° ≤ 2θ ≤ 90°, sorted by position:
2θ 21.32, I 100.0; 2θ 26.19, I 14.0; 2θ 37.38, I 5.5; 2θ 43.43, I 4.0; 2θ 46.21, I 5.4; 2θ 65.28, I 4.7; 2θ 69.52, I 4.6; 2θ 71.60, I 2.2; 2θ 83.67, I 2.1; 2θ 89.56, I 2.6